Calculated X-ray diffraction stick pattern of AcPrNdEr for Cu Kα, from a crystal structure in Alexandria, relaxed with GGA-PBE.

Largest 10 diffraction maxima, in order of rising 2θ, 10 to 90 degrees two-theta:
d (Å)  intensity  (hkl)
3.137  53  1 0 1
3.001  34  0 0 4
2.858  100  1 0 2
2.523  29  0 1 3
1.931  14  0 1 5
1.877  28  1 1 0
1.704  21  1 0 6
1.591  32  1 1 4
1.569  17  0 2 2
1.204  14  2 1 2

Cell and atoms:
```
data_AcPrNdEr
_chemical_formula_sum 'Ac1 Pr1 Nd1 Er1'
_cell_length_a 3.7532
_cell_length_b 3.7532
_cell_length_c 12.0045
_cell_angle_alpha 90.00
_cell_angle_beta 90.00
_cell_angle_gamma 120.00
_symmetry_space_group_name_H-M 'P 3 m 1'
_symmetry_Int_Tables_number 156
loop_
_symmetry_equiv_pos_as_xyz
'x,y,z'
'-y,x-y,z'
'-x+y,-x,z'
'-y,-x,z'
'-x+y,y,z'
'x,x-y,z'
loop_
_atom_site_label
_atom_site_type_symbol
_atom_site_fract_x
_atom_site_fract_y
_atom_site_fract_z
Ac1 Ac 0.0000 0.0000 0.0000
Pr1 Pr 0.6667 0.3333 0.5101
Nd1 Nd 0.3333 0.6667 0.2615
Er1 Er 0.3333 0.6667 0.7481
```